KNi2H3Se2O10: calculated powder X-ray diffraction pattern (λ = 1.5418 Å (Cu Kα)), based on a PBE+U-relaxed structure.
Neutral-atom scattering factors, no anomalous dispersion.

Top 10 peaks for 2θ from 10° to 90°, by angle:
- 12.30°, I = 57
- 17.33°, I = 80
- 25.44°, I = 83
- 26.57°, I = 100
- 28.70°, I = 87
- 30.26°, I = 56
- 32.62°, I = 55
- 34.21°, I = 76
- 34.87°, I = 37
- 53.40°, I = 45

Structural model:
```
data_KNi2H3Se2O10
_chemical_formula_sum 'K1 Ni2 H3 Se2 O10'
_symmetry_space_group_name_H-M 'P 1'
_symmetry_Int_Tables_number 1
_cell_length_a 5.582
_cell_length_b 5.582
_cell_length_c 7.848
_cell_angle_alpha 108.95
_cell_angle_beta 108.95
_cell_angle_gamma 70.93
loop_
_symmetry_equiv_pos_as_xyz
'x,y,z'
loop_
_atom_site_label
_atom_site_type_symbol
_atom_site_fract_x
_atom_site_fract_y
_atom_site_fract_z
K1 K 0.000 0.000 0.000
Ni1 Ni 0.001 0.495 0.502
Ni2 Ni 0.495 0.001 0.502
H1 H 0.179 0.179 0.710
H2 H 0.816 0.816 0.286
H3 H 0.982 0.982 0.489
Se1 Se 0.421 0.421 0.223
Se2 Se 0.578 0.578 0.779
O1 O 0.148 0.148 0.575
O2 O 0.251 0.679 0.726
O3 O 0.301 0.301 0.002
O4 O 0.308 0.308 0.353
O5 O 0.321 0.749 0.275
O6 O 0.679 0.251 0.726
O7 O 0.692 0.692 0.648
O8 O 0.699 0.699 0.000
O9 O 0.749 0.321 0.275
O10 O 0.849 0.849 0.421
```